[1]
Simulated powder XRD pattern of Tl5SiSe4I2 for λ = 1.5418 Å (Cu Kα), from the PBE geometry in Alexandria.
Intensities are scaled so that the largest is 100.

Most intense lines, 10° ≤ 2θ ≤ 90°, low angle first:
2θ 17.8, I = 30; 2θ 19.5, I = 40; 2θ 22.8, I = 44; 2θ 27.0, I = 80; 2θ 28.6, I = 81; 2θ 32.5, I = 100; 2θ 34.3, I = 44; 2θ 39.5, I = 25; 2θ 40.2, I = 28; 2θ 40.5, I = 27

Structure:
```
data_Tl5SiSe4I2
_space_group_name_H-M_alt 'P 1'
_space_group_IT_number 1
_space_group_name_Hall 'P 1'
_cell_length_a 9.5608
_cell_length_b 6.7526
_cell_length_c 6.7526
_cell_angle_alpha 94.98
_cell_angle_beta 90.00
_cell_angle_gamma 90.00
loop_
_atom_site_label
_atom_site_type_symbol
_atom_site_fract_x
_atom_site_fract_y
_atom_site_fract_z
Tl1 Tl 0.0000 0.0000 0.0000
Tl2 Tl 0.2791 0.3228 0.6964
Tl3 Tl 0.2791 0.6964 0.3228
Tl4 Tl 0.7209 0.3228 0.6964
Tl5 Tl 0.7209 0.6964 0.3228
Si1 Si 0.5000 0.9105 0.9105
Se1 Se 0.3165 0.0776 0.0776
Se2 Se 0.5000 0.5840 0.9713
Se3 Se 0.5000 0.9713 0.5840
Se4 Se 0.6835 0.0776 0.0776
I1 I 0.0000 0.0013 0.5123
I2 I 0.0000 0.5123 0.0013
```


[2]
Simulated powder XRD pattern of AcZnGeCl for λ = 1.5418 Å (Cu Kα), from the PBE geometry in Alexandria.
Intensities are scaled so that the largest is 100.

Most intense lines, 10° ≤ 2θ ≤ 90°, low angle first:
2θ 13.2, I = 91; 2θ 24.9, I = 66; 2θ 25.8, I = 65; 2θ 28.0, I = 89; 2θ 32.3, I = 60; 2θ 33.9, I = 42; 2θ 37.4, I = 60; 2θ 40.8, I = 100; 2θ 45.1, I = 39; 2θ 58.8, I = 38

Structure:
```
data_AcZnGeCl
_space_group_name_H-M_alt 'P 1'
_space_group_IT_number 1
_space_group_name_Hall 'P 1'
_cell_length_a 13.6223
_cell_length_b 13.6223
_cell_length_c 13.6223
_cell_angle_alpha 18.69
_cell_angle_beta 18.69
_cell_angle_gamma 18.69
loop_
_atom_site_label
_atom_site_type_symbol
_atom_site_fract_x
_atom_site_fract_y
_atom_site_fract_z
Ac1 Ac 0.0854 0.0854 0.0854
Ac2 Ac 0.9146 0.9146 0.9146
Zn1 Zn 0.3083 0.3083 0.3083
Zn2 Zn 0.6917 0.6917 0.6917
Ge1 Ge 0.3743 0.3743 0.3743
Ge2 Ge 0.6257 0.6257 0.6257
Cl1 Cl 0.2057 0.2057 0.2057
Cl2 Cl 0.7943 0.7943 0.7943
```


[3]
Simulated powder XRD pattern of YEr4Te2 for λ = 1.5418 Å (Cu Kα), from the PBE geometry in Alexandria.
Intensities are scaled so that the largest is 100.

Most intense lines, 10° ≤ 2θ ≤ 90°, low angle first:
2θ 20.1, I = 13; 2θ 30.5, I = 11; 2θ 33.2, I = 100; 2θ 45.7, I = 12; 2θ 47.7, I = 16; 2θ 59.3, I = 27; 2θ 63.1, I = 10; 2θ 69.6, I = 7; 2θ 79.3, I = 7; 2θ 82.7, I = 7

Structure:
```
data_YEr4Te2
_space_group_name_H-M_alt 'P 1'
_space_group_IT_number 1
_space_group_name_Hall 'P 1'
_cell_length_a 9.3334
_cell_length_b 9.3334
_cell_length_c 9.3334
_cell_angle_alpha 33.64
_cell_angle_beta 33.64
_cell_angle_gamma 33.64
loop_
_atom_site_label
_atom_site_type_symbol
_atom_site_fract_x
_atom_site_fract_y
_atom_site_fract_z
Y1 Y 0.0000 0.0000 0.0000
Er1 Er 0.2358 0.2358 0.2358
Er2 Er 0.3661 0.3661 0.3661
Er3 Er 0.6339 0.6339 0.6339
Er4 Er 0.7642 0.7642 0.7642
Te1 Te 0.1179 0.1179 0.1179
Te2 Te 0.8821 0.8821 0.8821
```


[4]
Simulated powder XRD pattern of Bi2B2O7 for λ = 1.5418 Å (Cu Kα), from the PBE geometry in Alexandria.
Intensities are scaled so that the largest is 100.

Most intense lines, 10° ≤ 2θ ≤ 90°, low angle first:
2θ 19.5, I = 83; 2θ 19.8, I = 52; 2θ 23.2, I = 35; 2θ 23.4, I = 50; 2θ 24.5, I = 100; 2θ 27.3, I = 36; 2θ 27.4, I = 77; 2θ 28.9, I = 44; 2θ 33.0, I = 28; 2θ 42.6, I = 28

Structure:
```
data_Bi2B2O7
_space_group_name_H-M_alt 'P 1'
_space_group_IT_number 1
_space_group_name_Hall 'P 1'
_cell_length_a 6.3922
_cell_length_b 6.6078
_cell_length_c 7.5023
_cell_angle_alpha 79.62
_cell_angle_beta 79.37
_cell_angle_gamma 87.32
loop_
_atom_site_label
_atom_site_type_symbol
_atom_site_fract_x
_atom_site_fract_y
_atom_site_fract_z
Bi1 Bi 0.0979 0.2604 0.2610
Bi2 Bi 0.3162 0.2235 0.7218
Bi3 Bi 0.6838 0.7765 0.2782
Bi4 Bi 0.9021 0.7396 0.7390
B1 B 0.1863 0.7174 0.2738
B2 B 0.3839 0.7356 0.6668
B3 B 0.6161 0.2644 0.3332
B4 B 0.8137 0.2826 0.7262
O1 O 0.0110 0.2246 0.6278
O2 O 0.2121 0.5699 0.1677
O3 O 0.2190 0.1756 0.0007
O4 O 0.2573 0.5635 0.6888
O5 O 0.2710 0.8938 0.7376
O6 O 0.3474 0.8337 0.3043
O7 O 0.4030 0.2562 0.4160
O8 O 0.5970 0.7438 0.5840
O9 O 0.6526 0.1663 0.6957
O10 O 0.7290 0.1062 0.2624
O11 O 0.7427 0.4365 0.3112
O12 O 0.7810 0.8244 0.9993
O13 O 0.7879 0.4301 0.8323
O14 O 0.9890 0.7754 0.3722
```


[5]
Simulated powder XRD pattern of PmGa3Tc3 for λ = 1.5418 Å (Cu Kα), from the PBE geometry in Alexandria.
Intensities are scaled so that the largest is 100.

Most intense lines, 10° ≤ 2θ ≤ 90°, low angle first:
2θ 26.3, I = 43; 2θ 32.3, I = 100; 2θ 46.4, I = 16; 2θ 50.3, I = 57; 2θ 54.1, I = 25; 2θ 61.1, I = 16; 2θ 64.4, I = 13; 2θ 77.0, I = 16; 2θ 80.0, I = 15; 2θ 88.9, I = 17

Structure:
```
data_PmGa3Tc3
_space_group_name_H-M_alt 'P 1'
_space_group_IT_number 1
_space_group_name_Hall 'P 1'
_cell_length_a 6.7850
_cell_length_b 6.7850
_cell_length_c 6.7850
_cell_angle_alpha 90.00
_cell_angle_beta 90.00
_cell_angle_gamma 90.00
loop_
_atom_site_label
_atom_site_type_symbol
_atom_site_fract_x
_atom_site_fract_y
_atom_site_fract_z
Pm1 Pm 0.0000 0.0000 0.0000
Pm2 Pm 0.5000 0.5000 0.5000
Ga1 Ga 0.0000 0.2500 0.5000
Ga2 Ga 0.0000 0.7500 0.5000
Ga3 Ga 0.2500 0.5000 0.0000
Ga4 Ga 0.5000 0.0000 0.2500
Ga5 Ga 0.5000 0.0000 0.7500
Ga6 Ga 0.7500 0.5000 0.0000
Tc1 Tc 0.0000 0.5000 0.2500
Tc2 Tc 0.0000 0.5000 0.7500
Tc3 Tc 0.2500 0.0000 0.5000
Tc4 Tc 0.5000 0.2500 0.0000
Tc5 Tc 0.5000 0.7500 0.0000
Tc6 Tc 0.7500 0.0000 0.5000
```


[6]
Simulated powder XRD pattern of BeAs4 for λ = 1.5418 Å (Cu Kα), from the PBE geometry in Alexandria.
Intensities are scaled so that the largest is 100.

Most intense lines, 10° ≤ 2θ ≤ 90°, low angle first:
2θ 15.8, I = 43; 2θ 28.3, I = 100; 2θ 31.8, I = 25; 2θ 35.7, I = 91; 2θ 36.4, I = 66; 2θ 49.1, I = 51; 2θ 51.4, I = 29; 2θ 54.6, I = 46; 2θ 65.8, I = 30; 2θ 69.3, I = 18

Structure:
```
data_BeAs4
_space_group_name_H-M_alt 'P 1'
_space_group_IT_number 1
_space_group_name_Hall 'P 1'
_cell_length_a 7.9504
_cell_length_b 7.9504
_cell_length_c 3.4359
_cell_angle_alpha 90.00
_cell_angle_beta 90.00
_cell_angle_gamma 90.00
loop_
_atom_site_label
_atom_site_type_symbol
_atom_site_fract_x
_atom_site_fract_y
_atom_site_fract_z
Be1 Be 0.0000 0.0000 0.0000
Be2 Be 0.5000 0.5000 0.5000
As1 As 0.0797 0.2089 0.5000
As2 As 0.2089 0.9203 0.5000
As3 As 0.2911 0.5797 0.0000
As4 As 0.4203 0.2911 0.0000
As5 As 0.5797 0.7089 0.0000
As6 As 0.7089 0.4203 0.0000
As7 As 0.7911 0.0797 0.5000
As8 As 0.9203 0.7911 0.5000
```


[7]
Simulated powder XRD pattern of Ac2PaP3Ir12 for λ = 1.5418 Å (Cu Kα), from the PBE geometry in Alexandria.
Intensities are scaled so that the largest is 100.

Most intense lines, 10° ≤ 2θ ≤ 90°, low angle first:
2θ 23.1, I = 12; 2θ 27.4, I = 17; 2θ 31.9, I = 100; 2θ 34.8, I = 28; 2θ 35.2, I = 14; 2θ 44.1, I = 65; 2θ 47.2, I = 44; 2θ 55.4, I = 16; 2θ 66.6, I = 21; 2θ 83.4, I = 17

Structure:
```
data_Ac2PaP3Ir12
_space_group_name_H-M_alt 'P 1'
_space_group_IT_number 1
_space_group_name_Hall 'P 1'
_cell_length_a 7.7269
_cell_length_b 7.7269
_cell_length_c 7.7269
_cell_angle_alpha 64.20
_cell_angle_beta 64.20
_cell_angle_gamma 64.20
loop_
_atom_site_label
_atom_site_type_symbol
_atom_site_fract_x
_atom_site_fract_y
_atom_site_fract_z
Ac1 Ac 0.1029 0.1029 0.1029
Ac2 Ac 0.8971 0.8971 0.8971
Pa1 Pa 0.5000 0.5000 0.5000
P1 P 0.0000 0.5000 0.5000
P2 P 0.5000 0.0000 0.5000
P3 P 0.5000 0.5000 0.0000
Ir1 Ir 0.1117 0.6337 0.6337
Ir2 Ir 0.1606 0.1606 0.5903
Ir3 Ir 0.1606 0.5903 0.1606
Ir4 Ir 0.3663 0.3663 0.8883
Ir5 Ir 0.3663 0.8883 0.3663
Ir6 Ir 0.4097 0.8394 0.8394
Ir7 Ir 0.5903 0.1606 0.1606
Ir8 Ir 0.6337 0.1117 0.6337
Ir9 Ir 0.6337 0.6337 0.1117
Ir10 Ir 0.8394 0.4097 0.8394
Ir11 Ir 0.8394 0.8394 0.4097
Ir12 Ir 0.8883 0.3663 0.3663
```


[8]
Simulated powder XRD pattern of Mn5Cd for λ = 1.5418 Å (Cu Kα), from the PBE geometry in Alexandria.
Intensities are scaled so that the largest is 100.

Most intense lines, 10° ≤ 2θ ≤ 90°, low angle first:
2θ 24.7, I = 11; 2θ 33.0, I = 20; 2θ 37.9, I = 13; 2θ 38.2, I = 26; 2θ 43.3, I = 37; 2θ 43.9, I = 39; 2θ 44.2, I = 100; 2θ 59.1, I = 13; 2θ 69.3, I = 10; 2θ 80.0, I = 15

Structure:
```
data_Mn5Cd
_space_group_name_H-M_alt 'P 1'
_space_group_IT_number 1
_space_group_name_Hall 'P 1'
_cell_length_a 4.1809
_cell_length_b 2.7108
_cell_length_c 14.2413
_cell_angle_alpha 90.00
_cell_angle_beta 90.00
_cell_angle_gamma 90.00
loop_
_atom_site_label
_atom_site_type_symbol
_atom_site_fract_x
_atom_site_fract_y
_atom_site_fract_z
Mn1 Mn 0.0000 0.0000 0.0000
Mn2 Mn 0.0000 0.0000 0.2892
Mn3 Mn 0.0000 0.0000 0.6491
Mn4 Mn 0.0000 0.5000 0.1491
Mn5 Mn 0.0000 0.5000 0.5000
Mn6 Mn 0.0000 0.5000 0.7892
Mn7 Mn 0.5000 0.0000 0.1830
Mn8 Mn 0.5000 0.0000 0.5451
Mn9 Mn 0.5000 0.5000 0.0451
Mn10 Mn 0.5000 0.5000 0.6830
Cd1 Cd 0.5000 0.0000 0.8694
Cd2 Cd 0.5000 0.5000 0.3694
```